For RbPtC, DFT lattice parameters and positions (GGA-PBE) gives the theoretical powder XRD pattern in this record (λ = 1.5418 Å (Cu Kα)).

Structural model:
```
data_RbPtC
_chemical_formula_sum 'Rb4 Pt4 C4'
_cell_length_a 13.025
_cell_length_b 4.376
_cell_length_c 5.729
_cell_angle_alpha 90.00
_cell_angle_beta 113.18
_cell_angle_gamma 90.00
_symmetry_space_group_name_H-M 'P 1'
_symmetry_Int_Tables_number 1
loop_
_symmetry_equiv_pos_as_xyz
'x,y,z'
loop_
_atom_site_label
_atom_site_type_symbol
_atom_site_fract_x
_atom_site_fract_y
_atom_site_fract_z
Rb1 Rb 0.111 0.000 0.394
Rb2 Rb 0.389 0.500 0.606
Rb3 Rb 0.611 0.500 0.394
Rb4 Rb 0.889 0.000 0.606
Pt1 Pt 0.193 0.500 0.984
Pt2 Pt 0.307 0.000 0.016
Pt3 Pt 0.693 0.000 0.984
Pt4 Pt 0.807 0.500 0.016
C1 C 0.046 0.500 0.987
C2 C 0.454 0.000 0.013
C3 C 0.546 0.000 0.987
C4 C 0.954 0.500 0.013
```

Most intense lines, 2θ = 5–70°, most intense first:
h k l  2theta  d/Å  I/Imax
3 1 -1  30.12  2.967  100.0
2 0 0  14.80  5.987  67.8
0 0 1  16.83  5.267  66.6
1 1 1  29.32  3.047  66.5
5 1 0  43.06  2.101  50.6
2 0 -2  31.26  2.861  47.3
2 0 1  26.58  3.353  43.3
5 1 -3  55.40  1.658  38.9
5 1 -2  44.92  2.018  37.0
2 0 -1  17.51  5.065  36.6